Record 1
Simulated XRD peak list of PmMgAgPd for Cu Ka, from a crystal structure in Alexandria, relaxed with GGA-PBE.
Peak positions follow from Bragg's law for the DFT cell and can differ from measured ones.

Structural model:
abc: 4.707 4.707 5.310
angles: 116.17 116.17 59.88
Fractional positions:
Pm 0.000 0.000 0.000
Mg 0.490 0.490 0.471
Ag 0.221 0.221 0.664
Pd 0.782 0.782 0.344

Top 12 peaks for 2θ = 10–90°, low angle first:
2theta  I (rel.)
22.77  66
34.18  98
38.26  100
39.53  18
39.66  35
52.10  10
52.30  19
56.22  14
66.61  18
69.22  11
70.17  13
74.22  14

---

Record 2
Simulated XRD peak list of Pm3Mg7Ag4 for Cu Ka, from a crystal structure in Alexandria, relaxed with GGA-PBE.
Peak positions follow from Bragg's law for the DFT cell and can differ from measured ones.

Structural model:
abc: 8.685 8.685 10.513
angles: 122.38 122.38 30.28
Fractional positions:
Pm 0.000 0.000 0.000
Pm 0.307 0.307 0.298
Pm 0.693 0.693 0.702
Mg 0.000 0.000 0.500
Mg 0.163 0.163 0.430
Mg 0.321 0.321 0.983
Mg 0.489 0.489 0.698
Mg 0.511 0.511 0.302
Mg 0.679 0.679 0.017
Mg 0.837 0.837 0.570
Ag 0.115 0.115 0.829
Ag 0.339 0.339 0.735
Ag 0.661 0.661 0.265
Ag 0.885 0.885 0.171

Top 12 peaks for 2θ = 10–90°, low angle first:
2theta  I (rel.)
20.26  57
24.52  20
25.29  17
27.47  50
29.52  22
31.53  57
32.36  65
32.93  23
33.35  100
37.86  20
39.76  75
63.36  17

---

Record 3
Simulated XRD peak list of PmMg5Ag6 for Cu Ka, from a crystal structure in Alexandria, relaxed with GGA-PBE.
Peak positions follow from Bragg's law for the DFT cell and can differ from measured ones.

Structural model:
abc: 4.828 6.925 7.597
angles: 90.00 108.64 90.00
Fractional positions:
Pm 0.000 0.000 0.000
Mg 0.000 0.500 0.000
Mg 0.329 0.000 0.658
Mg 0.341 0.500 0.678
Mg 0.659 0.500 0.322
Mg 0.671 0.000 0.342
Ag 0.173 0.267 0.349
Ag 0.173 0.733 0.349
Ag 0.500 0.271 0.000
Ag 0.500 0.729 0.000
Ag 0.827 0.267 0.651
Ag 0.827 0.733 0.651

Top 12 peaks for 2θ = 10–90°, low angle first:
2theta  I (rel.)
25.73  11
26.18  23
29.24  9
37.04  100
37.25  26
37.48  24
53.82  8
53.93  8
66.46  8
67.03  16
67.33  15
78.87  9